Record 1
Simulated PXRD pattern
Compound: Ti12BeGa6
Radiation: Cu Kα X-rays
Structure: a GGA-PBE-relaxed structure

Peak list (10 most intense, 2θ from 5° to 70°, most intense first)
- 40.50°, I = 100
- 42.72°, I = 59
- 42.42°, I = 57
- 40.29°, I = 54
- 39.87°, I = 36
- 29.61°, I = 33
- 44.42°, I = 20
- 18.79°, I = 13
- 26.55°, I = 10
- 32.73°, I = 10

Structural model:
Cell: 6.7160 6.7160 6.7160 Å, 89.35 89.35 89.35°
Element x y z (fractional)
Ti1 0.0192 0.9395 0.3071
Ti2 0.0605 0.6929 0.9808
Ti3 0.1216 0.4394 0.3583
Ti4 0.3071 0.0192 0.9395
Ti5 0.3583 0.1216 0.4394
Ti6 0.4394 0.3583 0.1216
Ti7 0.5606 0.6417 0.8784
Ti8 0.6417 0.8784 0.5606
Ti9 0.6929 0.9808 0.0605
Ti10 0.8784 0.5606 0.6417
Ti11 0.9395 0.3071 0.0192
Ti12 0.9808 0.0605 0.6929
Be1 0.5000 0.5000 0.5000
Ga1 0.2348 0.3780 0.7515
Ga2 0.2485 0.7652 0.6220
Ga3 0.3780 0.7515 0.2348
Ga4 0.6220 0.2485 0.7652
Ga5 0.7515 0.2348 0.3780
Ga6 0.7652 0.6220 0.2485

=====

Record 2
Simulated PXRD pattern
Compound: Tb12MgAl3
Radiation: Cu Kα X-rays
Structure: a GGA-PBE-relaxed structure

Peak list (10 most intense, 2θ from 5° to 70°, most intense first)
- 32.22°, I = 100
- 37.38°, I = 50
- 64.20°, I = 41
- 53.89°, I = 35
- 18.44°, I = 20
- 26.19°, I = 17
- 67.42°, I = 12
- 41.99°, I = 10
- 46.21°, I = 7
- 57.46°, I = 5

Structural model:
Cell: 4.8110 4.8110 19.2527 Å, 90.00 90.00 90.00°
Element x y z (fractional)
Tb1 0.0000 0.0000 0.0000
Tb2 0.0000 0.0000 0.2475
Tb3 0.0000 0.0000 0.5000
Tb4 0.0000 0.0000 0.7525
Tb5 0.0000 0.5000 0.1238
Tb6 0.0000 0.5000 0.3691
Tb7 0.0000 0.5000 0.6309
Tb8 0.0000 0.5000 0.8762
Tb9 0.5000 0.0000 0.1238
Tb10 0.5000 0.0000 0.3691
Tb11 0.5000 0.0000 0.6309
Tb12 0.5000 0.0000 0.8762
Mg1 0.5000 0.5000 0.5000
Al1 0.5000 0.5000 0.0000
Al2 0.5000 0.5000 0.2469
Al3 0.5000 0.5000 0.7531